(1)
Computed PXRD pattern of CsKIF6 for Cu Kα, 1.54184 Å, from a crystal structure in Alexandria, relaxed with PBE.

Top 6 peaks for 10 to 90 degrees two-theta, in order of rising 2θ:
- 24.37°, d 3.652, I = 52
- 24.65°, d 3.612, I = 100
- 25.90°, d 3.440, I = 36
- 26.14°, d 3.409, I = 37
- 27.37°, d 3.258, I = 34
- 37.15°, d 2.420, I = 56

a b c (Å): 4.631 6.517 6.835
angles (deg): 117.89 91.43 90.58
Fractional positions:
Cs  0.000  0.000  0.000
K  0.560  0.708  0.373
I  0.304  0.326  0.646
F  0.076  0.999  0.488
F  0.107  0.448  0.439
F  0.213  0.509  0.991
F  0.498  0.661  0.752
F  0.502  0.127  0.778
F  0.505  0.129  0.334

(2)
Computed PXRD pattern of Cd11Hg4 for Cu Kα, 1.54184 Å, from a crystal structure in Alexandria, relaxed with PBE.

Top 6 peaks for 10 to 90 degrees two-theta, in order of rising 2θ:
- 29.18°, d 3.060, I = 39
- 34.44°, d 2.604, I = 89
- 34.76°, d 2.580, I = 65
- 35.47°, d 2.531, I = 38
- 37.54°, d 2.396, I = 100
- 38.50°, d 2.339, I = 52

a b c (Å): 10.736 10.736 6.120
angles (deg): 90.00 90.00 90.00
Fractional positions:
Cd  0.000  0.000  0.000
Cd  0.072  0.270  0.000
Cd  0.096  0.096  0.500
Cd  0.177  0.823  0.252
Cd  0.177  0.823  0.748
Cd  0.230  0.572  0.500
Cd  0.270  0.072  0.000
Cd  0.323  0.323  0.248
Cd  0.323  0.323  0.752
Cd  0.404  0.596  0.000
Cd  0.428  0.770  0.500
Cd  0.500  0.500  0.500
Cd  0.572  0.230  0.500
Cd  0.596  0.404  0.000
Cd  0.677  0.677  0.248
Cd  0.677  0.677  0.752
Cd  0.730  0.928  0.000
Cd  0.770  0.428  0.500
Cd  0.823  0.177  0.252
Cd  0.823  0.177  0.748
Cd  0.904  0.904  0.500
Cd  0.928  0.730  0.000
Hg  0.047  0.363  0.500
Hg  0.137  0.547  0.000
Hg  0.363  0.047  0.500
Hg  0.453  0.863  0.000
Hg  0.547  0.137  0.000
Hg  0.637  0.953  0.500
Hg  0.863  0.453  0.000
Hg  0.953  0.637  0.500

(3)
Computed PXRD pattern of NaAg2HgBr4 for Cu Kα, 1.54184 Å, from a crystal structure in Alexandria, relaxed with PBE.

Top 6 peaks for 10 to 90 degrees two-theta, in order of rising 2θ:
- 15.26°, d 5.805, I = 22
- 23.61°, d 3.768, I = 100
- 38.74°, d 2.325, I = 51
- 39.61°, d 2.275, I = 25
- 45.09°, d 2.011, I = 16
- 46.63°, d 1.948, I = 31

a b c (Å): 8.121 8.118 6.435
angles (deg): 66.68 66.63 46.69
Fractional positions:
Na  0.000  0.000  0.000
Ag  0.249  0.249  0.251
Ag  0.749  0.749  0.751
Hg  0.499  0.499  0.501
Br  0.102  0.621  0.898
Br  0.379  0.895  0.105
Br  0.621  0.102  0.379
Br  0.895  0.379  0.621